Record 1
The following is a computed XRD peak list of PmDyTmAl. It was derived from a DFT-relaxed cell (PBE, Alexandria), using copper Kα.

Cell and atoms:
a b c (Å): 3.5151 3.5151 9.0363
angles (deg): 90.00 90.00 90.00
Positions (direct):
Pm 0.0000 0.0000 0.0000
Dy 0.5000 0.5000 0.7064
Tm 0.5000 0.5000 0.2865
Al 0.0000 0.0000 0.4934

Top 10 peaks for 5 to 70 degrees two-theta, most intense first:
2theta  Rel. int.
32.3  100
36.1  44
62.6  30
27.2  29
47.4  19
29.7  17
57.3  17
52.0  15
54.9  13
25.3  10


Record 2
The following is a computed XRD peak list of Pr5DyAl2. It was derived from a DFT-relaxed cell (PBE, Alexandria), using copper Kα.

Cell and atoms:
a b c (Å): 5.4709 5.4709 20.2036
angles (deg): 90.00 90.00 120.00
Positions (direct):
Pr 0.0000 0.0000 0.1547
Pr 0.0000 0.0000 0.3453
Pr 0.0000 0.0000 0.6547
Pr 0.0000 0.0000 0.8453
Pr 0.3333 0.6667 0.0549
Pr 0.3333 0.6667 0.2500
Pr 0.3333 0.6667 0.4451
Pr 0.6667 0.3333 0.5549
Pr 0.6667 0.3333 0.7500
Pr 0.6667 0.3333 0.9451
Dy 0.3333 0.6667 0.7500
Dy 0.6667 0.3333 0.2500
Al 0.3333 0.6667 0.6015
Al 0.3333 0.6667 0.8985
Al 0.6667 0.3333 0.1015
Al 0.6667 0.3333 0.3985

Top 10 peaks for 5 to 70 degrees two-theta, most intense first:
2theta  Rel. int.
32.7  100
32.6  58
25.8  57
58.4  41
56.6  31
8.8  23
46.9  21
23.0  19
29.0  17
42.1  16


Record 3
The following is a computed XRD peak list of Pr4Dy4Al. It was derived from a DFT-relaxed cell (PBE, Alexandria), using copper Kα.

Cell and atoms:
a b c (Å): 7.7420 7.7420 7.7420
angles (deg): 131.84 113.70 86.04
Positions (direct):
Pr 0.0000 0.0000 0.0000
Pr 0.3294 0.5000 0.8294
Pr 0.5000 0.0000 0.5000
Pr 0.6706 0.5000 0.1706
Dy 0.1035 0.5204 0.1407
Dy 0.3796 0.9627 0.8593
Dy 0.6204 0.4796 0.5831
Dy 0.8965 0.0373 0.4169
Al 0.0000 0.5000 0.5000

Top 10 peaks for 5 to 70 degrees two-theta, most intense first:
2theta  Rel. int.
26.5  100
32.5  76
34.9  50
31.6  43
47.8  21
54.4  16
49.0  16
56.8  15
45.8  13
64.3  12


Record 4
The following is a computed XRD peak list of PrDy7Al5. It was derived from a DFT-relaxed cell (PBE, Alexandria), using copper Kα.

Cell and atoms:
a b c (Å): 8.0462 8.0462 8.0462
angles (deg): 135.19 101.00 95.72
Positions (direct):
Pr 0.0000 0.0000 0.0000
Dy 0.1922 0.4971 0.6950
Dy 0.3202 0.9822 0.3381
Dy 0.3285 0.3285 0.0000
Dy 0.6441 0.9822 0.6619
Dy 0.6525 0.6525 0.0000
Dy 0.7595 0.2595 0.5000
Dy 0.8021 0.4971 0.3050
Al 0.2287 0.7287 0.5000
Al 0.4776 0.4863 0.4916
Al 0.4776 0.9860 0.9913
Al 0.9947 0.4863 0.0087
Al 0.9947 0.9860 0.5084

Top 10 peaks for 5 to 70 degrees two-theta, most intense first:
2theta  Rel. int.
34.4  100
30.0  91
29.1  90
33.8  69
60.1  60
38.1  59
24.0  45
28.8  41
33.2  34
37.4  32


Record 5
The following is a computed XRD peak list of Pr3DyAl4. It was derived from a DFT-relaxed cell (PBE, Alexandria), using copper Kα.

Cell and atoms:
a b c (Å): 3.7178 3.7178 14.9025
angles (deg): 90.00 90.00 90.00
Positions (direct):
Pr 0.0000 0.0000 0.0000
Pr 0.0000 0.0000 0.2562
Pr 0.0000 0.0000 0.7438
Dy 0.0000 0.0000 0.5000
Al 0.5000 0.5000 0.1278
Al 0.5000 0.5000 0.3872
Al 0.5000 0.5000 0.6128
Al 0.5000 0.5000 0.8722

Top 10 peaks for 5 to 70 degrees two-theta, most intense first:
2theta  Rel. int.
34.1  100
23.9  58
61.0  36
42.1  18
55.2  16
49.0  12
55.2  8
48.9  6
5.9  2
38.7  1


Record 6
The following is a computed XRD peak list of Dy6Al2Pt. It was derived from a DFT-relaxed cell (PBE, Alexandria), using copper Kα.

Cell and atoms:
a b c (Å): 9.7611 9.7611 4.9603
angles (deg): 90.00 90.00 90.00
Positions (direct):
Dy 0.0287 0.3048 0.0000
Dy 0.1177 0.8823 0.5000
Dy 0.1952 0.5287 0.5000
Dy 0.3048 0.0287 0.0000
Dy 0.3823 0.3823 0.0000
Dy 0.4713 0.8048 0.5000
Dy 0.5287 0.1952 0.5000
Dy 0.6177 0.6177 0.0000
Dy 0.6952 0.9713 0.0000
Dy 0.8048 0.4713 0.5000
Dy 0.8823 0.1177 0.5000
Dy 0.9713 0.6952 0.0000
Al 0.2093 0.2093 0.5000
Al 0.2907 0.7093 0.0000
Al 0.7093 0.2907 0.0000
Al 0.7907 0.7907 0.5000
Pt 0.0000 0.0000 0.0000
Pt 0.5000 0.5000 0.5000

Top 10 peaks for 5 to 70 degrees two-theta, most intense first:
2theta  Rel. int.
32.9  100
36.2  30
63.1  28
34.2  22
39.2  21
33.1  20
42.3  17
54.4  17
49.9  13
12.8  12


Record 7
The following is a computed XRD peak list of Dy3Al3Pt2. It was derived from a DFT-relaxed cell (PBE, Alexandria), using copper Kα.

Cell and atoms:
a b c (Å): 8.1068 14.9629 5.6351
angles (deg): 90.00 90.00 90.00
Positions (direct):
Dy 0.0386 0.1115 0.1141
Dy 0.0386 0.3885 0.1141
Dy 0.1820 0.2500 0.6274
Dy 0.3180 0.7500 0.1274
Dy 0.4614 0.6115 0.6141
Dy 0.4614 0.8885 0.6141
Dy 0.5386 0.1115 0.3859
Dy 0.5386 0.3885 0.3859
Dy 0.6820 0.2500 0.8726
Dy 0.8180 0.7500 0.3726
Dy 0.9614 0.6115 0.8859
Dy 0.9614 0.8885 0.8859
Al 0.1661 0.7500 0.6173
Al 0.1823 0.0346 0.6103
Al 0.1823 0.4654 0.6103
Al 0.3177 0.5346 0.1103
Al 0.3177 0.9654 0.1103
Al 0.3339 0.2500 0.1173
Al 0.6661 0.7500 0.8827
Al 0.6823 0.0346 0.8897
Al 0.6823 0.4654 0.8897
Al 0.8177 0.5346 0.3897
Al 0.8177 0.9654 0.3897
Al 0.8339 0.2500 0.3827
Pt 0.1018 0.6070 0.3732
Pt 0.1018 0.8930 0.3732
Pt 0.3982 0.1070 0.8732
Pt 0.3982 0.3930 0.8732
Pt 0.6018 0.6070 0.1268
Pt 0.6018 0.8930 0.1268
Pt 0.8982 0.1070 0.6268
Pt 0.8982 0.3930 0.6268

Top 10 peaks for 5 to 70 degrees two-theta, most intense first:
2theta  Rel. int.
34.2  100
38.3  93
36.4  85
32.6  74
26.3  64
23.8  56
55.1  53
37.4  39
36.9  39
36.0  35


Record 8
The following is a computed XRD peak list of Dy3Al7Pt4. It was derived from a DFT-relaxed cell (PBE, Alexandria), using copper Kα.

Cell and atoms:
a b c (Å): 8.1340 8.1340 9.4742
angles (deg): 123.89 123.89 30.28
Positions (direct):
Dy 0.0000 0.0000 0.0000
Dy 0.3072 0.3072 0.3037
Dy 0.6928 0.6928 0.6963
Al 0.0000 0.0000 0.5000
Al 0.1549 0.1549 0.4235
Al 0.3178 0.3178 0.9731
Al 0.4955 0.4955 0.7060
Al 0.5045 0.5045 0.2940
Al 0.6822 0.6822 0.0269
Al 0.8451 0.8451 0.5765
Pt 0.1173 0.1173 0.8408
Pt 0.3395 0.3395 0.7205
Pt 0.6605 0.6605 0.2795
Pt 0.8827 0.8827 0.1592

Top 10 peaks for 5 to 70 degrees two-theta, most intense first:
2theta  Rel. int.
35.4  100
35.7  84
26.7  80
42.6  75
34.9  70
29.7  62
27.0  56
23.0  55
35.9  49
33.3  45


Record 9
The following is a computed XRD peak list of DyAl9Pt2. It was derived from a DFT-relaxed cell (PBE, Alexandria), using copper Kα.

Cell and atoms:
a b c (Å): 8.3612 8.3612 8.3612
angles (deg): 100.51 100.51 129.43
Positions (direct):
Dy 0.3750 0.6250 0.7500
Dy 0.6250 0.3750 0.2500
Al 0.1250 0.8750 0.2500
Al 0.1282 0.5562 0.3294
Al 0.1282 0.7988 0.5720
Al 0.2012 0.2732 0.3294
Al 0.2012 0.8718 0.9280
Al 0.2732 0.2012 0.8294
Al 0.2732 0.4438 0.0720
Al 0.4438 0.2732 0.5720
Al 0.4438 0.8718 0.1706
Al 0.5562 0.1282 0.8294
Al 0.5562 0.7268 0.4280
Al 0.7268 0.5562 0.9280
Al 0.7268 0.7988 0.1706
Al 0.7988 0.1282 0.0720
Al 0.7988 0.7268 0.6706
Al 0.8718 0.2012 0.4280
Al 0.8718 0.4438 0.6706
Al 0.8750 0.1250 0.7500
Pt 0.0000 0.0000 0.0000
Pt 0.0000 0.0000 0.5000
Pt 0.0000 0.5000 0.0000
Pt 0.5000 0.0000 0.5000

Top 10 peaks for 5 to 70 degrees two-theta, most intense first:
2theta  Rel. int.
22.4  100
32.7  59
45.7  46
30.1  39
33.5  35
36.6  29
38.7  26
47.5  21
57.0  20
14.9  17


Record 10
The following is a computed XRD peak list of DyAl3Pt3. It was derived from a DFT-relaxed cell (PBE, Alexandria), using copper Kα.

Cell and atoms:
a b c (Å): 6.7628 6.7628 6.7628
angles (deg): 90.00 90.00 90.00
Positions (direct):
Dy 0.0000 0.0000 0.0000
Dy 0.5000 0.5000 0.5000
Al 0.0000 0.2500 0.5000
Al 0.0000 0.7500 0.5000
Al 0.2500 0.5000 0.0000
Al 0.5000 0.0000 0.2500
Al 0.5000 0.0000 0.7500
Al 0.7500 0.5000 0.0000
Pt 0.0000 0.5000 0.2500
Pt 0.0000 0.5000 0.7500
Pt 0.2500 0.0000 0.5000
Pt 0.5000 0.2500 0.0000
Pt 0.5000 0.7500 0.0000
Pt 0.7500 0.0000 0.5000

Top 10 peaks for 5 to 70 degrees two-theta, most intense first:
2theta  Rel. int.
32.4  100
29.5  95
50.5  58
26.4  43
54.3  27
48.5  25
63.0  23
46.5  21
61.3  16
64.6  14


Record 11
The following is a computed XRD peak list of Dy4Al24Pt9. It was derived from a DFT-relaxed cell (PBE, Alexandria), using copper Kα.

Cell and atoms:
a b c (Å): 7.5227 7.5259 13.1882
angles (deg): 79.10 84.54 60.09
Positions (direct):
Dy 0.0013 0.2318 0.3090
Dy 0.3321 0.5619 0.3090
Dy 0.6679 0.4381 0.6910
Dy 0.9987 0.7682 0.6910
Al 0.9995 0.1479 0.5557
Al 0.0005 0.8521 0.4443
Al 0.0007 0.6857 0.9414
Al 0.0063 0.0564 0.8292
Al 0.1305 0.3082 0.6844
Al 0.3325 0.0206 0.9391
Al 0.3326 0.1829 0.4531
Al 0.3334 0.6468 0.0586
Al 0.3343 0.3831 0.8294
Al 0.3336 0.4819 0.5557
Al 0.3360 0.8980 0.6833
Al 0.3399 0.2700 0.1694
Al 0.4582 0.8970 0.3163
Al 0.5418 0.1030 0.6837
Al 0.6601 0.7300 0.8306
Al 0.6640 0.1020 0.3167
Al 0.6664 0.5181 0.4443
Al 0.6657 0.6169 0.1706
Al 0.6666 0.3532 0.9414
Al 0.6674 0.8171 0.5469
Al 0.6675 0.9794 0.0609
Al 0.8695 0.6918 0.3156
Al 0.9937 0.9436 0.1708
Al 0.9993 0.3143 0.0586
Pt 0.0000 0.5000 0.5000
Pt 0.0080 0.6126 0.1384
Pt 0.3254 0.9542 0.1369
Pt 0.3285 0.8287 0.4999
Pt 0.3331 0.7046 0.8616
Pt 0.6669 0.2954 0.1384
Pt 0.6715 0.1713 0.5001
Pt 0.6746 0.0458 0.8631
Pt 0.9920 0.3874 0.8616

Top 10 peaks for 5 to 70 degrees two-theta, most intense first:
2theta  Rel. int.
41.6  100
30.0  88
28.7  84
23.8  80
38.5  30
44.4  27
20.6  26
55.2  22
34.8  21
46.8  21


Record 12
The following is a computed XRD peak list of DyTiAlPt2. It was derived from a DFT-relaxed cell (PBE, Alexandria), using copper Kα.

Cell and atoms:
a b c (Å): 4.0575 4.0575 11.6337
angles (deg): 90.00 90.00 90.00
Positions (direct):
Dy 0.0000 0.0000 0.0000
Dy 0.5000 0.5000 0.5000
Ti 0.0000 0.5000 0.7500
Ti 0.5000 0.0000 0.2500
Al 0.0000 0.5000 0.2500
Al 0.5000 0.0000 0.7500
Pt 0.0000 0.0000 0.3858
Pt 0.0000 0.0000 0.6142
Pt 0.5000 0.5000 0.1142
Pt 0.5000 0.5000 0.8858

Top 10 peaks for 5 to 70 degrees two-theta, most intense first:
2theta  Rel. int.
31.9  100
31.2  84
44.9  73
44.7  55
65.2  49
34.9  47
55.9  41
23.2  27
44.3  24
15.2  18